(1)
This entry pairs a crystal structure of LiLuSn with its theoretical X-ray powder pattern. Radiation: Cu Ka. Structure: a structure optimized by DFT (GGA-PBE).

The 10 most intense peaks (2θ = 5–70°), by angle:
d (Å)  I/Imax  (hkl)
4.018  30  2 0 0
3.501  38  2 0 1
2.667  100  2 0 2
2.320  53  2 2 0
2.046  9  2 0 3
1.934  8  4 0 1
1.783  11  0 0 4
1.750  26  4 0 2
1.414  21  2 2 4
1.397  23  4 2 2

Atomic structure:
abc: 9.2794 9.2794 7.1314
angles: 90.00 90.00 120.00
Space group P6_3mc (No. 186)
Symmetry-distinct sites (fractional):
Li  0.1653  0.3305  0.0000
Li  0.3333  0.6667  0.3712
Lu  0.0000  0.0000  0.2138
Lu  0.0269  0.5135  0.7065
Sn  0.1666  0.3332  0.4436
Sn  0.3333  0.6667  0.9766



(2)
This entry pairs a crystal structure of Cs4Re6S13 with its theoretical X-ray powder pattern. Radiation: Cu Ka. Structure: a structure optimized by DFT (GGA-PBE).

The 10 most intense peaks (2θ = 5–70°), by angle:
d (Å)  I/Imax  (hkl)
8.671  68  0 2 0
7.897  100  1 1 -1
6.823  90  1 1 1
5.369  31  0 2 2
4.977  20  2 0 0
4.843  15  1 3 -1
2.500  25  2 6 -1
2.393  18  4 2 0
1.986  25  3 7 0
1.946  16  2 8 1

Atomic structure:
abc: 10.127 17.342 13.918
angles: 90.00 100.75 90.00
Space group C2/c (No. 15)
Symmetry-distinct sites (fractional):
Cs  0.205  0.021  0.285
Cs  0.220  0.376  0.413
Re  0.132  0.217  0.079
Re  0.140  0.205  0.891
Re  0.153  0.343  0.977
S  0.000  0.139  0.750
S  0.014  0.466  0.938
S  0.041  0.183  0.326
S  0.046  0.264  0.551
S  0.128  0.093  0.995
S  0.151  0.344  0.151
S  0.169  0.323  0.807



(3)
This entry pairs a crystal structure of Br with its theoretical X-ray powder pattern. Radiation: Cu Ka. Structure: a structure optimized by DFT (GGA-PBE).

The 5 most intense peaks (2θ = 5–70°), by angle:
d (Å)  I/Imax  (hkl)
2.728  100  1 1 1
2.363  49  2 0 0
1.671  33  2 2 0
1.425  39  3 1 1
1.364  11  2 2 2

Atomic structure:
abc: 4.725 4.725 4.725
angles: 90.00 90.00 90.00
Space group Fm-3m (No. 225)
Symmetry-distinct sites (fractional):
Br  0.000  0.000  0.000



(4)
This entry pairs a crystal structure of MoPd3 with its theoretical X-ray powder pattern. Radiation: Cu Ka. Structure: a structure optimized by DFT (GGA-PBE).

The 3 most intense peaks (2θ = 5–70°), by angle:
d (Å)  I/Imax  (hkl)
2.282  100  1 0 4
1.977  48  0 1 8
1.398  30  1 1 0

Atomic structure:
abc: 2.7951 2.7951 27.3941
angles: 90.00 90.00 120.00
Space group R-3m (No. 166, hexagonal axes)
Symmetry-distinct sites (fractional):
Mo  0.0000  0.0000  0.0000
Pd  0.0000  0.0000  0.2521
Pd  0.0000  0.0000  0.5000